Calculated powder XRD pattern of Sc3CuRh4 for Cu Kα (λ = 1.5418 Å), from DFT lattice parameters and positions (PBE).

Lattice parameters (Å, degrees): 4.4743 4.4743 21.9792 90.00 90.00 120.00
Space group R-3m (No. 166, hexagonal axes)
Asymmetric unit:
Sc1 0.0000 0.0000 0.0000 [3 per cell]
Sc2 0.0000 0.0000 0.2429 [6 per cell]
Cu1 0.0000 0.0000 0.5000 [3 per cell]
Rh1 0.0000 0.0000 0.1229 [6 per cell]
Rh2 0.0000 0.0000 0.3756 [6 per cell]

The 12 most intense peaks (10 to 90 degrees two-theta), by angle:
2theta  intensity  index
12.08  1  0 0 3
28.18  16  1 0 4
40.28  100  1 1 0
49.78  1  0 0 12
49.91  4  0 2 4
58.27  16  2 0 8
65.91  3  1 1 12
66.02  3  2 1 4
73.09  7  1 0 16
73.26  24  3 0 0
86.94  5  0 2 16
87.13  5  2 2 0